# AcCoAsO6
Theoretical powder XRD pattern, Cu Ka. Input: DFT lattice parameters and positions (GGA+U).

Principal peaks in the range 15° ≤ 2θ ≤ 90°, low angle first:
d = 4.311 Å, 2θ = 20.6°, intensity 16.9; d = 3.381 Å, 2θ = 26.4°, intensity 100.0; d = 3.354 Å, 2θ = 26.6°, intensity 49.8; d = 2.699 Å, 2θ = 33.2°, intensity 12.4; d = 2.497 Å, 2θ = 36.0°, intensity 25.5; d = 2.485 Å, 2θ = 36.1°, intensity 12.4; d = 2.009 Å, 2θ = 45.1°, intensity 21.2; d = 1.996 Å, 2θ = 45.5°, intensity 10.1; d = 1.838 Å, 2θ = 49.6°, intensity 25.5; d = 1.828 Å, 2θ = 49.9°, intensity 12.4; d = 1.819 Å, 2θ = 50.2°, intensity 9.3; d = 1.566 Å, 2θ = 59.0°, intensity 12.7

Atomic structure:
```
data_AcCoAsO6
_chemical_formula_sum 'Ac1 Co1 As1 O6'
_cell_length_a 4.994
_cell_length_b 4.994
_cell_length_c 5.399
_cell_angle_alpha 90.29
_cell_angle_beta 90.29
_cell_angle_gamma 120.32
_symmetry_space_group_name_H-M 'P 1'
_symmetry_Int_Tables_number 1
loop_
_symmetry_equiv_pos_as_xyz
'x,y,z'
loop_
_atom_site_label
_atom_site_type_symbol
_atom_site_fract_x
_atom_site_fract_y
_atom_site_fract_z
Ac1 Ac 0.000 0.000 0.000
Co1 Co 0.664 0.336 0.500
As1 As 0.334 0.666 0.500
O1 O 0.005 0.611 0.698
O2 O 0.006 0.388 0.302
O3 O 0.384 0.387 0.696
O4 O 0.389 0.995 0.302
O5 O 0.612 0.994 0.698
O6 O 0.613 0.616 0.304
```